1.
Calculated PXRD pattern
Compound: SrGa2CuPt
Radiation: Cu Kα (weighted mean of Kα1 and Kα2)
Structure: a DFT-relaxed cell (PBE, OQMD)
Neutral-atom scattering factors, no anomalous dispersion.

Atomic structure:
```
SrGa2CuPt
1.0
4.4451 0.0000 0.0000
0.0000 4.4451 0.0000
0.0000 0.0000 10.0430
Sr Ga Cu Pt
2 4 2 2
Direct
0.2500 0.2500 0.2449
0.7500 0.7500 0.7551
0.2500 0.2500 0.8855
0.2500 0.7500 0.5000
0.7500 0.2500 0.5000
0.7500 0.7500 0.1145
0.2500 0.7500 0.0000
0.7500 0.2500 0.0000
0.2500 0.2500 0.6319
0.7500 0.7500 0.3681
```

Most intense lines, 2θ from 15° to 90°, by angle:
2θ/deg, intensity
21.87, 404
26.79, 367
28.40, 465
33.51, 974
33.64, 775
40.59, 1000
46.28, 553
49.82, 355
53.62, 509
58.75, 332

***

2.
Calculated PXRD pattern
Compound: K11Cd2Sb5
Radiation: Cu Kα (weighted mean of Kα1 and Kα2)
Structure: a DFT-relaxed cell (PBE, OQMD)
Neutral-atom scattering factors, no anomalous dispersion.

Atomic structure:
```
K11Cd2Sb5
1.0
9.9819 0.0000 0.0000
-3.6416 11.5009 0.0000
-1.6298 -3.6803 12.2697
K Cd Sb
22 4 10
Direct
0.0500 0.2062 0.2687
0.1242 0.4052 0.0168
0.1431 0.9257 0.0369
0.2045 0.0579 0.5717
0.2042 0.5796 0.5710
0.3056 0.3944 0.7767
0.3502 0.9120 0.7905
0.3653 0.8260 0.4399
0.3676 0.3346 0.4697
0.3933 0.7482 0.1411
0.4141 0.2728 0.1363
0.5859 0.7272 0.8637
0.6067 0.2518 0.8589
0.6324 0.6654 0.5303
0.6347 0.1740 0.5601
0.6498 0.0880 0.2095
0.6944 0.6056 0.2233
0.7958 0.4204 0.4290
0.7955 0.9421 0.4283
0.8569 0.0743 0.9631
0.8758 0.5948 0.9832
0.9500 0.7938 0.7313
0.0536 0.5420 0.2815
0.0539 0.8754 0.2854
0.9461 0.1246 0.7146
0.9464 0.4580 0.7185
0.0019 0.2649 0.5534
0.1912 0.1319 0.8662
0.1935 0.6484 0.8666
0.3382 0.5269 0.2994
0.3400 0.0447 0.3082
0.6600 0.9553 0.6918
0.6618 0.4731 0.7006
0.8065 0.3516 0.1334
0.8088 0.8681 0.1338
0.9981 0.7351 0.4466
```

Most intense lines, 2θ from 15° to 90°, by angle:
2θ/deg, intensity
15.52, 245
18.30, 945
18.93, 409
29.62, 548
30.36, 246
30.70, 446
30.74, 1000
31.22, 370
35.40, 502
36.43, 358

***

3.
Calculated PXRD pattern
Compound: RbPrTeS
Radiation: Cu Kα (weighted mean of Kα1 and Kα2)
Structure: a DFT-relaxed cell (PBE, OQMD)
Neutral-atom scattering factors, no anomalous dispersion.

Atomic structure:
```
RbPrTeS
1.0
2.2217 1.2827 8.2045
-2.2217 1.2827 8.2045
0.0000 -2.5654 8.2045
Rb Pr Te S
1 1 1 1
Direct
0.0000 0.0000 0.0000
0.4858 0.4858 0.4858
0.2304 0.2304 0.2304
0.7626 0.7626 0.7626
```

Most intense lines, 2θ from 15° to 90°, by angle:
2θ/deg, intensity
23.40, 120
27.33, 1000
29.46, 112
37.42, 353
40.61, 362
49.64, 188
56.40, 106
61.53, 119
66.00, 158
71.79, 103

***

4.
Calculated PXRD pattern
Compound: BaCdSeO
Radiation: Cu Kα (weighted mean of Kα1 and Kα2)
Structure: a DFT-relaxed cell (PBE, OQMD)
Neutral-atom scattering factors, no anomalous dispersion.

Atomic structure:
```
BaCdSeO
1.0
6.6108 0.0000 0.0000
0.0000 4.3335 0.0000
0.0000 0.0000 14.8347
Ba Cd Se O
4 4 4 4
Direct
0.2505 0.2500 0.1011
0.2495 0.7500 0.6011
0.7505 0.2500 0.3989
0.7495 0.7500 0.8989
0.1691 0.2500 0.8167
0.3309 0.7500 0.3167
0.6691 0.2500 0.6833
0.8309 0.7500 0.1833
0.2468 0.2500 0.4196
0.2532 0.7500 0.9196
0.7468 0.2500 0.0804
0.7532 0.7500 0.5804
0.1711 0.7500 0.1878
0.3289 0.2500 0.6878
0.6711 0.7500 0.3122
0.8289 0.2500 0.8122
```

Most intense lines, 2θ from 15° to 90°, by angle:
2θ/deg, intensity
23.99, 255
26.97, 627
27.37, 1000
27.61, 195
30.58, 382
38.82, 722
41.68, 283
47.78, 283
50.36, 216
55.72, 204

***

5.
Calculated PXRD pattern
Compound: TaCl5
Radiation: Cu Kα (weighted mean of Kα1 and Kα2)
Structure: a DFT-relaxed cell (PBE, OQMD)
Neutral-atom scattering factors, no anomalous dispersion.

Atomic structure:
```
TaCl5
1.0
6.4111 0.0000 0.0000
-3.1010 6.3007 0.0000
-0.1413 -3.4635 8.7192
Ta Cl
2 10
Direct
0.1053 0.2159 0.2179
0.8947 0.7841 0.7821
0.0711 0.8180 0.5768
0.1152 0.6335 0.8563
0.2323 0.1748 0.9557
0.2996 0.0148 0.2442
0.4337 0.5615 0.3244
0.5663 0.4385 0.6756
0.7004 0.9852 0.7558
0.7677 0.8252 0.0443
0.8848 0.3665 0.1437
0.9289 0.1820 0.4232
```

Most intense lines, 2θ from 15° to 90°, by angle:
2θ/deg, intensity
15.68, 748
15.84, 650
17.03, 568
17.34, 518
20.37, 530
21.17, 458
31.53, 513
31.90, 1000
40.85, 448
41.50, 282

***

6.
Calculated PXRD pattern
Compound: KHoErC
Radiation: Cu Kα (weighted mean of Kα1 and Kα2)
Structure: a DFT-relaxed cell (PBE, OQMD)
Neutral-atom scattering factors, no anomalous dispersion.

Atomic structure:
```
KHoErC
1.0
3.5975 0.0000 0.0000
-1.7987 3.1155 0.0000
0.0000 0.0000 20.5163
K Ho Er C
2 2 2 2
Direct
0.3333 0.6667 0.2505
0.6667 0.3333 0.7495
0.3333 0.6667 0.9354
0.6667 0.3333 0.0646
0.3333 0.6667 0.5641
0.6667 0.3333 0.4359
0.0000 0.0000 0.0000
0.0000 0.0000 0.5000
```

Most intense lines, 2θ from 15° to 90°, by angle:
2θ/deg, intensity
26.06, 230
28.65, 212
31.56, 1000
36.20, 371
39.12, 146
50.76, 205
57.93, 150
61.00, 149
63.13, 121
83.26, 124

***

7.
Calculated PXRD pattern
Compound: Y5PbAu2
Radiation: Cu Kα (weighted mean of Kα1 and Kα2)
Structure: a DFT-relaxed cell (PBE, OQMD)
Neutral-atom scattering factors, no anomalous dispersion.

Atomic structure:
```
Y5PbAu2
1.0
5.1478 0.0000 0.0000
0.0000 5.1478 0.0000
0.0000 0.0000 9.5443
Y Pb Au
5 1 2
Direct
0.0000 0.0000 0.0000
0.0000 0.5000 0.2424
0.0000 0.5000 0.7576
0.5000 0.0000 0.2424
0.5000 0.0000 0.7576
0.5000 0.5000 0.0000
0.0000 0.0000 0.3640
0.0000 0.0000 0.6360
```

Most intense lines, 2θ from 15° to 90°, by angle:
2θ/deg, intensity
17.23, 400
19.59, 1000
30.90, 895
34.86, 993
37.55, 675
40.30, 341
41.72, 271
45.32, 288
50.12, 354
64.28, 283

***

Repeat the fourth record exactly.
Calculated PXRD pattern
Compound: BaCdSeO
Radiation: Cu Kα (weighted mean of Kα1 and Kα2)
Structure: a DFT-relaxed cell (PBE, OQMD)
Neutral-atom scattering factors, no anomalous dispersion.

Atomic structure:
```
BaCdSeO
1.0
6.6108 0.0000 0.0000
0.0000 4.3335 0.0000
0.0000 0.0000 14.8347
Ba Cd Se O
4 4 4 4
Direct
0.2505 0.2500 0.1011
0.2495 0.7500 0.6011
0.7505 0.2500 0.3989
0.7495 0.7500 0.8989
0.1691 0.2500 0.8167
0.3309 0.7500 0.3167
0.6691 0.2500 0.6833
0.8309 0.7500 0.1833
0.2468 0.2500 0.4196
0.2532 0.7500 0.9196
0.7468 0.2500 0.0804
0.7532 0.7500 0.5804
0.1711 0.7500 0.1878
0.3289 0.2500 0.6878
0.6711 0.7500 0.3122
0.8289 0.2500 0.8122
```

Most intense lines, 2θ from 15° to 90°, by angle:
2θ/deg, intensity
23.99, 255
26.97, 627
27.37, 1000
27.61, 195
30.58, 382
38.82, 722
41.68, 283
47.78, 283
50.36, 216
55.72, 204